# Ni2PBr
Simulated powder XRD pattern, Cu Kα. Input: a cell relaxed with PBE.

Atomic structure:
Cell: 6.364 3.635 5.902 Å, 90.00 98.08 90.00°
Space group Cm (No. 8)
Inequivalent atoms, fractional coordinates:
Ni: 0.000 0.000 0.000 x2
Ni: 0.133 0.500 0.747 x2
P: 0.314 0.000 0.860 x2
Br: 0.099 0.500 0.345 x2

Main lines, sorted by position (2θ from 10° to 90°):
- 15.16°, d = 5.843 Å, I = 28
- 28.34°, d = 3.150 Å, I = 100
- 30.28°, d = 2.952 Å, I = 34
- 30.60°, d = 2.922 Å, I = 29
- 31.31°, d = 2.857 Å, I = 42
- 33.26°, d = 2.694 Å, I = 53
- 40.62°, d = 2.221 Å, I = 50
- 43.72°, d = 2.070 Å, I = 56
- 45.19°, d = 2.006 Å, I = 17
- 50.18°, d = 1.818 Å, I = 85
- 51.58°, d = 1.772 Å, I = 25
- 57.34°, d = 1.607 Å, I = 17